[1]
Diffraction record for HoPaS. The powder XRD pattern is computed, not measured: it uses a PBE-relaxed structure and λ = 1.5418 Å (Cu Kα).
Lines closer than 0.1° are merged.

Cell and atoms:
```
data_HoPaS
_chemical_formula_sum 'Ho4 Pa4 S4'
_cell_length_a 3.529
_cell_length_b 6.107
_cell_length_c 13.686
_cell_angle_alpha 90.00
_cell_angle_beta 90.00
_cell_angle_gamma 90.00
_symmetry_space_group_name_H-M 'C m c 21'
_symmetry_Int_Tables_number 36
_symmetry_space_group_name_Hall 'C 2c -2'
loop_
_atom_site_label
_atom_site_fract_x
_atom_site_fract_y
_atom_site_fract_z
_atom_site_occupancy
Ho1 0.000 0.168 0.000 1
Pa1 0.000 0.168 0.719 1
S1 0.000 0.499 0.364 1
```

Most intense lines, 2θ from 5° to 70°, low angle first:
2theta  I_rel  hkl
12.94  9  0 0 2
26.04  44  0 0 4
29.24  24  0 2 0
29.97  82  1 1 1
35.36  100  1 1 3
39.54  46  0 0 6
51.84  34  2 0 0
55.83  35  1 1 7
58.91  29  2 0 4
61.04  11  0 4 1
64.32  18  0 4 3
67.09  19  2 0 6

[2]
Diffraction record for Pa3P3S. The powder XRD pattern is computed, not measured: it uses a PBE-relaxed structure and λ = 1.5418 Å (Cu Kα).
Lines closer than 0.1° are merged.

Cell and atoms:
```
data_Pa3P3S
_chemical_formula_sum 'Pa3 P3 S1'
_cell_length_a 5.529
_cell_length_b 5.529
_cell_length_c 5.529
_cell_angle_alpha 90.00
_cell_angle_beta 90.00
_cell_angle_gamma 90.00
_symmetry_space_group_name_H-M 'P m -3 m'
_symmetry_Int_Tables_number 221
_symmetry_space_group_name_Hall '-P 4 2 3'
loop_
_atom_site_label
_atom_site_fract_x
_atom_site_fract_y
_atom_site_fract_z
_atom_site_occupancy
Pa1 0.000 0.000 0.500 1
P1 0.000 0.500 0.500 1
S1 0.000 0.000 0.000 1
```

Most intense lines, 2θ from 5° to 70°, low angle first:
2theta  I_rel  hkl
16.03  43  1 0 0
22.74  37  1 1 0
27.95  89  1 1 1
32.38  100  2 0 0
36.33  24  2 1 0
39.94  18  2 1 1
46.45  74  2 2 0
49.45  13  3 0 0
55.09  45  3 1 1
57.76  26  2 2 2
62.89  10  3 2 1
67.80  12  4 0 0

[3]
Diffraction record for Zr3Rh. The powder XRD pattern is computed, not measured: it uses a PBE-relaxed structure and λ = 1.5418 Å (Cu Kα).
Lines closer than 0.1° are merged.

Cell and atoms:
```
data_Zr3Rh
_chemical_formula_sum 'Zr24 Rh8'
_cell_length_a 10.784
_cell_length_b 10.784
_cell_length_c 5.723
_cell_angle_alpha 90.00
_cell_angle_beta 90.00
_cell_angle_gamma 90.00
_symmetry_space_group_name_H-M 'I -4 2 m'
_symmetry_Int_Tables_number 121
_symmetry_space_group_name_Hall 'I -4 2'
loop_
_atom_site_label
_atom_site_fract_x
_atom_site_fract_y
_atom_site_fract_z
_atom_site_occupancy
Zr1 0.000 0.355 0.000 1
Zr2 0.095 0.095 0.766 1
Zr3 0.205 0.205 0.249 1
Rh1 0.000 0.293 0.500 1
```

Most intense lines, 2θ from 5° to 70°, low angle first:
2theta  I_rel  hkl
33.45  82  1 1 2
33.81  100  3 2 1
35.31  71  3 3 0
35.52  22  2 0 2
37.29  44  4 2 0
37.82  100  4 1 1
39.37  80  2 2 2
41.18  22  3 1 2
42.75  32  5 1 0
60.86  25  6 0 2
65.24  23  0 0 4
69.89  28  5 5 2

[4]
Diffraction record for Tb5As4Br. The powder XRD pattern is computed, not measured: it uses a PBE-relaxed structure and λ = 1.5418 Å (Cu Kα).
Lines closer than 0.1° are merged.

Cell and atoms:
```
data_Tb5As4Br
_chemical_formula_sum 'Tb10 As8 Br2'
_cell_length_a 4.151
_cell_length_b 5.840
_cell_length_c 20.814
_cell_angle_alpha 90.00
_cell_angle_beta 90.00
_cell_angle_gamma 90.00
_symmetry_space_group_name_H-M 'I m m m'
_symmetry_Int_Tables_number 71
_symmetry_space_group_name_Hall '-I 2 2'
loop_
_atom_site_label
_atom_site_fract_x
_atom_site_fract_y
_atom_site_fract_z
_atom_site_occupancy
Tb1 0.000 0.000 0.000 1
Tb2 0.000 0.000 0.199 1
Tb3 0.000 0.000 0.388 1
As1 0.000 0.500 0.203 1
As2 0.000 0.500 0.402 1
Br1 0.000 0.500 0.000 1
```

Most intense lines, 2θ from 5° to 70°, low angle first:
2theta  I_rel  hkl
26.32  31  1 1 0
30.41  100  1 0 5
30.62  51  0 2 0
37.15  3  1 0 7
43.48  16  0 0 10
43.68  93  2 0 0
51.61  8  2 1 5
51.86  5  1 3 0
54.11  17  0 2 10
54.23  20  2 2 0
63.28  11  2 0 10
63.75  7  0 4 0

[5]
Diffraction record for Sc2Cd3Ga. The powder XRD pattern is computed, not measured: it uses a PBE-relaxed structure and λ = 1.5418 Å (Cu Kα).
Lines closer than 0.1° are merged.

Cell and atoms:
```
data_Sc2Cd3Ga
_chemical_formula_sum 'Sc16 Cd24 Ga8'
_cell_length_a 6.492
_cell_length_b 9.494
_cell_length_c 16.378
_cell_angle_alpha 90.00
_cell_angle_beta 90.00
_cell_angle_gamma 90.00
_symmetry_space_group_name_H-M 'F m m m'
_symmetry_Int_Tables_number 69
_symmetry_space_group_name_Hall '-F 2 2'
loop_
_atom_site_label
_atom_site_fract_x
_atom_site_fract_y
_atom_site_fract_z
_atom_site_occupancy
Sc1 0.249 0.000 0.000 1
Sc2 0.250 0.250 0.250 1
Cd1 0.000 0.000 0.330 1
Cd2 0.000 0.246 0.085 1
Ga1 0.000 0.000 0.166 1
```

Most intense lines, 2θ from 5° to 70°, low angle first:
2theta  I_rel  hkl
21.66  26  0 0 4
27.48  39  2 0 0
35.26  100  2 0 4
37.91  39  0 4 0
38.03  78  0 2 6
47.45  17  2 4 0
47.55  34  2 2 6
52.75  20  2 4 4
52.88  10  2 0 8
56.72  11  4 0 0
66.92  18  2 2 10
68.55  12  0 6 6

[6]
Diffraction record for LiAsSe2. The powder XRD pattern is computed, not measured: it uses a PBE-relaxed structure and λ = 1.5418 Å (Cu Kα).
Lines closer than 0.1° are merged.

Cell and atoms:
```
data_LiAsSe2
_chemical_formula_sum 'Li4 As4 Se8'
_cell_length_a 12.562
_cell_length_b 5.551
_cell_length_c 5.631
_cell_angle_alpha 90.00
_cell_angle_beta 112.73
_cell_angle_gamma 90.00
_symmetry_space_group_name_H-M 'C 1 c 1'
_symmetry_Int_Tables_number 9
_symmetry_space_group_name_Hall 'C -2yc'
loop_
_atom_site_label
_atom_site_fract_x
_atom_site_fract_y
_atom_site_fract_z
_atom_site_occupancy
Li1 0.000 0.236 0.000 1
As1 0.284 0.222 0.829 1
Se1 0.242 0.225 0.231 1
Se2 0.487 0.238 0.983 1
```

Most intense lines, 2θ from 5° to 70°, low angle first:
2theta  I_rel  hkl
15.29  64  2 0 0
22.52  49  1 1 -1
26.72  88  1 1 1
27.94  35  3 1 -1
30.87  90  4 0 0
31.86  100  2 0 -2
32.25  98  0 2 0
45.25  57  4 2 0
45.97  66  2 2 -2
46.52  36  6 0 -2
51.71  37  5 1 1
57.73  34  6 2 -2

[7]
Diffraction record for Cd2Hg4Pb5. The powder XRD pattern is computed, not measured: it uses a PBE-relaxed structure and λ = 1.5418 Å (Cu Kα).
Lines closer than 0.1° are merged.

Cell and atoms:
```
data_Cd2Hg4Pb5
_chemical_formula_sum 'Cd4 Hg8 Pb10'
_cell_length_a 3.530
_cell_length_b 8.093
_cell_length_c 23.704
_cell_angle_alpha 90.00
_cell_angle_beta 90.00
_cell_angle_gamma 90.00
_symmetry_space_group_name_H-M 'I m m m'
_symmetry_Int_Tables_number 71
_symmetry_space_group_name_Hall '-I 2 2'
loop_
_atom_site_label
_atom_site_fract_x
_atom_site_fract_y
_atom_site_fract_z
_atom_site_occupancy
Cd1 0.000 0.000 0.113 1
Hg1 0.000 0.000 0.405 1
Hg2 0.000 0.317 0.000 1
Pb1 0.000 0.294 0.193 1
Pb2 0.000 0.500 0.500 1
```

Most intense lines, 2θ from 5° to 70°, low angle first:
2theta  I_rel  hkl
23.23  29  0 2 2
26.68  23  0 2 4
31.54  100  1 0 5
31.65  26  0 2 6
33.91  41  1 2 1
35.87  42  1 1 6
37.96  36  0 0 10
38.39  36  0 3 5
38.82  35  1 2 5
42.16  30  1 3 0
54.83  25  1 2 11
58.01  19  1 3 10

[8]
Diffraction record for Er2Tm3Th. The powder XRD pattern is computed, not measured: it uses a PBE-relaxed structure and λ = 1.5418 Å (Cu Kα).
Lines closer than 0.1° are merged.

Cell and atoms:
```
data_Er2Tm3Th
_chemical_formula_sum 'Er8 Tm12 Th4'
_cell_length_a 17.922
_cell_length_b 4.978
_cell_length_c 9.940
_cell_angle_alpha 90.00
_cell_angle_beta 123.68
_cell_angle_gamma 90.00
_symmetry_space_group_name_H-M 'C 1 2/m 1'
_symmetry_Int_Tables_number 12
_symmetry_space_group_name_Hall '-C 2y'
loop_
_atom_site_label
_atom_site_fract_x
_atom_site_fract_y
_atom_site_fract_z
_atom_site_occupancy
Er1 0.084 0.000 0.209 1
Er2 0.248 0.500 0.872 1
Tm1 0.082 0.500 0.956 1
Tm2 0.083 0.000 0.707 1
Tm3 0.250 0.000 0.625 1
Th1 0.081 0.500 0.457 1
```

Most intense lines, 2θ from 5° to 70°, low angle first:
2theta  I_rel  hkl
10.69  1  0 0 1
31.15  100  1 1 2
36.12  51  0 2 0
52.01  36  10 0 -4
61.88  43  1 3 2
64.96  12  2 2 4

[9]
Diffraction record for Tb3NdHo8. The powder XRD pattern is computed, not measured: it uses a PBE-relaxed structure and λ = 1.5418 Å (Cu Kα).
Lines closer than 0.1° are merged.

Cell and atoms:
```
data_Tb3NdHo8
_chemical_formula_sum 'Tb6 Nd2 Ho16'
_cell_length_a 7.671
_cell_length_b 7.671
_cell_length_c 15.370
_cell_angle_alpha 90.00
_cell_angle_beta 90.00
_cell_angle_gamma 90.00
_symmetry_space_group_name_H-M 'I 4/m m m'
_symmetry_Int_Tables_number 139
_symmetry_space_group_name_Hall '-I 4 2'
loop_
_atom_site_label
_atom_site_fract_x
_atom_site_fract_y
_atom_site_fract_z
_atom_site_occupancy
Tb1 0.000 0.000 0.000 1
Tb2 0.000 0.500 0.250 1
Nd1 0.000 0.000 0.500 1
Ho1 0.248 0.248 0.126 1
```

Most intense lines, 2θ from 5° to 70°, low angle first:
2theta  I_rel  hkl
20.04  24  1 1 2
23.18  16  2 0 0
33.01  100  2 2 0
38.92  13  3 1 2
40.72  5  2 2 4
47.38  18  4 0 0
51.93  6  3 3 2
53.38  7  4 2 0
58.95  38  4 2 4
62.88  2  3 3 6
62.96  2  5 1 2
69.24  12  4 4 0

[10]
Diffraction record for Pr7DyHo4. The powder XRD pattern is computed, not measured: it uses a PBE-relaxed structure and λ = 1.5418 Å (Cu Kα).
Lines closer than 0.1° are merged.

Cell and atoms:
```
data_Pr7DyHo4
_chemical_formula_sum 'Pr7 Dy1 Ho4'
_cell_length_a 6.360
_cell_length_b 7.326
_cell_length_c 9.043
_cell_angle_alpha 89.95
_cell_angle_beta 76.50
_cell_angle_gamma 89.97
_symmetry_space_group_name_H-M 'P -1'
_symmetry_Int_Tables_number 2
_symmetry_space_group_name_Hall '-P 1'
loop_
_atom_site_label
_atom_site_fract_x
_atom_site_fract_y
_atom_site_fract_z
_atom_site_occupancy
Pr1 0.000 0.000 0.000 1
Pr2 0.222 0.500 0.335 1
Pr3 0.280 0.751 0.666 1
Pr4 0.499 0.248 0.998 1
Dy1 0.000 0.500 0.000 1
Ho1 0.220 0.000 0.336 1
Ho2 0.277 0.246 0.667 1
```

Most intense lines, 2θ from 5° to 70°, low angle first:
2theta  I_rel  hkl
28.30  36  1 -2 0
28.91  17  1 -2 1
30.50  51  0 0 3
31.26  100  2 0 2
32.92  89  2 0 -1
39.39  14  1 -2 3
49.69  26  3 2 1
49.79  13  0 4 0
53.60  21  2 0 5
56.81  19  2 0 -4
59.44  38  3 2 4
60.92  15  -2 4 1

[11]
Diffraction record for RbB2As. The powder XRD pattern is computed, not measured: it uses a PBE-relaxed structure and λ = 1.5418 Å (Cu Kα).
Lines closer than 0.1° are merged.

Cell and atoms:
```
data_RbB2As
_chemical_formula_sum 'Rb4 B8 As4'
_cell_length_a 6.421
_cell_length_b 6.421
_cell_length_c 8.788
_cell_angle_alpha 90.00
_cell_angle_beta 90.00
_cell_angle_gamma 90.00
_symmetry_space_group_name_H-M 'I -4 2 d'
_symmetry_Int_Tables_number 122
_symmetry_space_group_name_Hall 'I -4 2bw'
loop_
_atom_site_label
_atom_site_fract_x
_atom_site_fract_y
_atom_site_fract_z
_atom_site_occupancy
Rb1 0.000 0.000 0.000 1
B1 0.102 0.250 0.625 1
As1 0.000 0.000 0.500 1
```

Most intense lines, 2θ from 5° to 70°, low angle first:
2theta  I_rel  hkl
27.79  48  2 0 0
28.26  100  1 1 2
32.81  1  2 1 1
39.71  19  2 2 0
41.08  7  0 0 4
49.45  41  3 1 2
50.33  21  2 0 4
57.41  7  4 0 0
58.46  13  2 2 4
64.95  10  4 2 0
65.20  9  3 3 2
67.15  8  1 1 6

[12]
Diffraction record for Sm4TmSn2. The powder XRD pattern is computed, not measured: it uses a PBE-relaxed structure and λ = 1.5418 Å (Cu Kα).
Lines closer than 0.1° are merged.

Cell and atoms:
```
data_Sm4TmSn2
_chemical_formula_sum 'Sm12 Tm3 Sn6'
_cell_length_a 5.4242
_cell_length_b 5.4242
_cell_length_c 27.8794
_cell_angle_alpha 90.00
_cell_angle_beta 90.00
_cell_angle_gamma 120.00
_symmetry_space_group_name_H-M 'R -3 m'
_symmetry_Int_Tables_number 166
_symmetry_space_group_name_Hall '-R 3 2"'
loop_
_atom_site_label
_atom_site_fract_x
_atom_site_fract_y
_atom_site_fract_z
_atom_site_occupancy
Sm1 0.0000 0.0000 0.1245 1
Sm2 0.0000 0.0000 0.2803 1
Tm1 0.0000 0.0000 0.5000 1
Sn1 0.0000 0.0000 0.3933 1
```

Most intense lines, 2θ from 5° to 70°, low angle first:
2theta  I_rel  hkl
19.15  17  1 0 1
24.78  31  0 1 5
28.82  11  0 0 9
29.40  15  1 0 7
31.98  42  0 1 8
33.03  100  1 1 0
37.51  17  1 0 10
44.40  20  1 1 9
46.61  21  2 0 8
58.32  18  1 2 8
58.99  19  3 0 0
69.29  12  2 2 0